Entry 1:
Starting from a DFT-relaxed cell (GGA-PBE, Alexandria), the powder XRD pattern of Nd2AlPd6 was computed for Cu Kα.
Kinematic intensities with the Lorentz-polarization factor, no thermal factor.

Largest 10 diffraction maxima, by angle, 2θ = 15–90°:
2theta	d [Å]	I/Imax
31.04	2.881	34.0
34.37	2.610	11.7
36.96	2.432	100.0
40.63	2.220	15.8
41.29	2.186	70.6
55.91	1.645	14.1
63.58	1.463	23.5
72.43	1.305	16.9
75.87	1.254	11.7
78.71	1.216	17.7

```
Nd2AlPd6
1.0
2.927 1.690 5.763
-2.927 1.690 5.763
0.000 -3.380 5.763
Nd Al Pd
2 1 6
Cartesian
0.000 0.000 4.013
0.000 0.000 13.276
0.000 0.000 8.644
0.000 -1.737 6.894
-1.504 0.868 6.894
-1.504 -0.868 10.395
1.504 0.868 6.894
1.504 -0.868 10.395
0.000 1.737 10.395
```



Entry 2:
Starting from a DFT-relaxed cell (GGA-PBE, Alexandria), the powder XRD pattern of La2Tm6Th was computed for Cu Kα.
Kinematic intensities with the Lorentz-polarization factor, no thermal factor.

Largest 10 diffraction maxima, by angle, 2θ = 15–90°:
2theta	d [Å]	I/Imax
31.57	2.834	90.0
31.76	2.817	100.0
45.40	1.998	33.3
56.47	1.630	35.0
56.59	1.626	19.6
62.75	1.481	28.8
66.37	1.409	12.1
75.35	1.261	14.9
80.89	1.188	14.1
89.51	1.095	11.4

```
La2Tm6Th
1.0
8.447 -4.882 0.000
8.447 4.882 0.000
-0.001 0.000 3.481
La Tm Th
2 6 1
Cartesian
2.814 0.000 3.481
14.079 0.000 0.000
8.447 3.217 1.740
5.662 1.607 1.746
5.662 -1.607 1.746
11.231 1.607 1.735
11.231 -1.607 1.735
8.447 -3.217 1.740
8.447 0.000 0.000
```



Entry 3:
Starting from a DFT-relaxed cell (GGA-PBE, Alexandria), the powder XRD pattern of LiZrTl was computed for Cu Kα.
Kinematic intensities with the Lorentz-polarization factor, no thermal factor.

Largest 10 diffraction maxima, by angle, 2θ = 15–90°:
2theta	d [Å]	I/Imax
21.22	4.187	97.7
22.12	4.019	83.5
31.71	2.821	23.2
32.80	2.731	32.1
33.42	2.681	86.7
36.64	2.453	61.5
36.75	2.446	77.2
37.70	2.386	67.8
38.28	2.351	100.0
43.21	2.094	30.0

```
LiZrTl
1.0
3.246 0.000 0.000
0.000 4.906 0.000
-1.327 0.000 8.039
Li Zr Tl
2 2 2
Cartesian
0.169 1.226 3.728
1.750 3.679 4.310
0.055 3.679 7.099
1.864 1.226 0.940
0.124 3.679 1.935
1.795 1.226 6.104
```



Entry 4:
Starting from a DFT-relaxed cell (GGA-PBE, Alexandria), the powder XRD pattern of HoBe5Fe7 was computed for Cu Kα.
Kinematic intensities with the Lorentz-polarization factor, no thermal factor.

Largest 10 diffraction maxima, by angle, 2θ = 15–90°:
2theta	d [Å]	I/Imax
22.19	4.005	85.1
22.46	3.959	33.2
22.67	3.923	44.3
32.09	2.789	46.7
39.21	2.298	41.9
39.56	2.278	68.2
39.98	2.255	69.3
45.65	1.987	87.5
45.83	1.980	100.0
46.20	1.965	33.1

```
HoBe5Fe7
1.0
-2.255 3.959 4.005
2.255 -3.959 4.005
2.255 3.959 -4.005
Ho Be Fe
1 5 7
Cartesian
0.000 0.000 0.000
1.128 1.953 -1.975
3.382 1.953 -1.975
-1.127 2.006 2.030
1.127 2.006 2.030
0.000 3.959 2.158
2.255 1.745 0.030
2.255 0.000 1.814
0.000 2.825 0.012
0.000 0.000 2.873
0.000 0.000 5.132
0.000 5.093 0.012
0.000 2.214 4.035
```



Entry 5:
Starting from a DFT-relaxed cell (GGA-PBE, Alexandria), the powder XRD pattern of Y6C2I7 was computed for Cu Kα.
Kinematic intensities with the Lorentz-polarization factor, no thermal factor.

Largest 10 diffraction maxima, by angle, 2θ = 15–90°:
2theta	d [Å]	I/Imax
24.42	3.645	13.8
26.68	3.342	15.0
27.08	3.293	16.0
28.24	3.160	37.7
29.65	3.013	12.7
30.93	2.891	100.0
41.37	2.182	22.4
42.45	2.130	15.1
43.35	2.087	21.0
46.11	1.968	17.9

```
Y6C2I7
1.0
10.931 -1.968 0.000
10.931 1.968 0.000
-6.943 0.000 11.109
Y C I
6 2 7
Cartesian
2.615 0.000 0.581
0.381 0.000 7.775
5.872 0.000 1.362
9.046 0.000 9.747
14.537 0.000 3.333
12.302 0.000 10.528
-0.144 0.000 10.089
15.062 0.000 1.020
-4.122 0.000 8.691
1.259 0.000 3.493
5.480 0.000 4.669
10.931 0.000 0.000
9.438 0.000 6.440
13.659 0.000 7.615
19.039 0.000 2.417
```



Entry 6:
Starting from a DFT-relaxed cell (GGA-PBE, Alexandria), the powder XRD pattern of Rb2SmAgF6 was computed for Cu Kα.
Kinematic intensities with the Lorentz-polarization factor, no thermal factor.

Largest 10 diffraction maxima, by angle, 2θ = 15–90°:
2theta	d [Å]	I/Imax
18.91	4.694	16.8
26.56	3.356	33.9
27.19	3.280	100.0
27.34	3.262	66.7
38.35	2.347	41.1
39.54	2.279	22.2
47.33	1.921	25.7
47.93	1.898	17.9
48.23	1.887	31.7
56.11	1.639	11.9

```
Rb2SmAgF6
1.0
6.568 0.000 0.000
0.000 6.711 0.000
-6.504 0.000 9.117
Rb Sm Ag F
4 2 2 12
Cartesian
-0.043 0.279 2.275
-3.295 3.076 6.833
3.359 3.635 2.284
0.107 6.432 6.842
3.284 0.000 0.000
0.032 3.356 4.558
-3.252 0.000 4.558
0.000 3.356 0.000
-5.041 1.283 8.771
-1.789 2.073 4.213
-4.460 4.876 8.704
-1.208 5.190 4.145
-2.710 0.202 6.927
0.542 3.154 2.369
-0.478 3.558 6.748
2.774 6.509 2.190
1.272 1.521 4.972
4.524 1.835 0.413
1.852 4.638 4.904
5.104 5.428 0.345
```



Entry 7:
Starting from a DFT-relaxed cell (GGA-PBE, Alexandria), the powder XRD pattern of Zr4VN was computed for Cu Kα.
Kinematic intensities with the Lorentz-polarization factor, no thermal factor.

Largest 10 diffraction maxima, by angle, 2θ = 15–90°:
2theta	d [Å]	I/Imax
33.46	2.678	54.4
33.57	2.670	66.8
33.90	2.644	53.9
34.62	2.591	100.0
37.73	2.384	25.3
41.37	2.183	14.6
46.68	1.946	22.3
52.73	1.736	13.2
56.44	1.630	14.7
58.39	1.580	13.4

```
Zr4VN
1.0
6.054 0.000 0.000
0.000 5.936 0.000
-0.995 0.000 6.210
Zr V N
8 2 2
Cartesian
0.453 1.035 1.165
-0.045 1.933 4.270
1.934 3.774 0.676
1.437 5.130 3.782
3.623 0.806 2.429
3.125 2.162 5.534
5.104 4.004 1.940
4.606 4.901 5.045
3.027 0.000 0.000
2.530 2.968 3.105
-0.498 0.000 3.105
0.000 2.968 0.000
```



Entry 8:
Starting from a DFT-relaxed cell (GGA-PBE, Alexandria), the powder XRD pattern of BeZn3 was computed for Cu Kα.
Kinematic intensities with the Lorentz-polarization factor, no thermal factor.

Largest 10 diffraction maxima, by angle, 2θ = 15–90°:
2theta	d [Å]	I/Imax
32.77	2.733	9.8
35.18	2.551	35.7
38.01	2.367	18.1
41.70	2.166	100.0
47.02	1.933	39.7
61.99	1.497	16.1
68.68	1.367	11.9
72.26	1.307	11.8
75.42	1.260	13.7
83.67	1.156	23.6

```
BeZn3
1.0
2.733 0.000 0.000
0.000 2.733 0.000
0.000 0.000 7.101
Be Zn
1 3
Cartesian
0.000 0.000 0.000
0.000 0.000 3.551
1.367 1.367 1.524
1.367 1.367 5.577
```



Entry 9:
Starting from a DFT-relaxed cell (GGA-PBE, Alexandria), the powder XRD pattern of UBeRe was computed for Cu Kα.
Kinematic intensities with the Lorentz-polarization factor, no thermal factor.

Largest 10 diffraction maxima, by angle, 2θ = 15–90°:
2theta	d [Å]	I/Imax
19.23	4.616	52.7
24.67	3.608	57.4
36.66	2.451	75.9
37.14	2.421	100.0
39.03	2.308	23.0
42.15	2.144	41.2
46.32	1.960	47.1
54.97	1.670	32.3
73.15	1.294	23.6
82.37	1.171	20.8

```
UBeRe
1.0
5.330 0.000 0.000
-2.665 4.616 0.000
0.000 0.000 5.785
U Be Re
3 3 3
Cartesian
-0.932 2.456 0.000
-0.072 4.195 1.928
1.004 2.580 3.857
-0.240 0.548 2.369
-2.070 4.550 4.297
2.310 4.134 0.440
1.482 1.420 0.581
3.359 0.573 4.438
3.154 2.623 2.509
```



Entry 10:
Starting from a DFT-relaxed cell (GGA-PBE, Alexandria), the powder XRD pattern of Tb6ZnIn was computed for Cu Kα.
Kinematic intensities with the Lorentz-polarization factor, no thermal factor.

Largest 10 diffraction maxima, by angle, 2θ = 15–90°:
2theta	d [Å]	I/Imax
26.76	3.331	8.1
31.98	2.799	100.0
35.35	2.539	41.6
40.38	2.234	10.2
50.86	1.795	14.8
54.74	1.677	16.7
57.62	1.600	6.7
61.35	1.511	30.8
66.86	1.399	9.1
85.53	1.135	6.7

```
Tb6ZnIn
1.0
9.284 -2.539 0.000
9.284 2.539 0.000
-1.381 0.000 4.886
Tb Zn In
6 1 1
Cartesian
1.884 0.000 0.535
3.609 0.000 3.665
6.710 0.000 1.908
10.477 0.000 2.979
13.579 0.000 1.221
15.304 0.000 4.351
-0.691 0.000 2.443
9.284 0.000 0.000
```